Entry 1:
Structure and computed powder X-ray diffraction pattern of V2Ni2PbO8 (a GGA+U-relaxed structure; Cu Kα (weighted mean of Kα1 and Kα2)).
Peak positions follow from Bragg's law for the DFT cell and can differ from measured ones.

Peak list (10 most intense, 15 to 90 degrees two-theta, in order of rising 2θ)
d 4.404, rel. 37, (2 2 0)
d 3.831, rel. 55, (1 1 2)
d 2.891, rel. 100, (3 1 2)
d 2.847, rel. 25, (4 1 1)
d 2.785, rel. 56, (4 2 0)
d 2.417, rel. 21, (3 3 2)
d 2.119, rel. 23, (5 1 2)
d 2.076, rel. 22, (6 0 0)
d 1.909, rel. 31, (5 3 2)
d 1.628, rel. 26, (5 5 2)

Structural model:
```
data_V2Ni2PbO8
_symmetry_space_group_name_H-M 'I 41 c d'
_symmetry_Int_Tables_number 110
_symmetry_space_group_name_Hall 'I 4bw -2c'
_cell_length_a 12.4570
_cell_length_b 12.4570
_cell_length_c 8.5102
_cell_angle_alpha 90.00
_cell_angle_beta 90.00
_cell_angle_gamma 90.00
loop_
_atom_site_label
_atom_site_fract_x
_atom_site_fract_y
_atom_site_fract_z
V1 0.0800 0.2626 0.0000
Ni1 0.1676 0.1720 0.3688
Pb1 0.0000 0.0000 0.0379
O1 0.0028 0.1747 0.3996
O2 0.0059 0.3521 0.5973
O3 0.1582 0.1852 0.1296
O4 0.1621 0.3290 0.8620
```

=====

Entry 2:
Structure and computed powder X-ray diffraction pattern of NiPdO4 (a GGA+U-relaxed structure; Cu Kα (weighted mean of Kα1 and Kα2)).
Peak positions follow from Bragg's law for the DFT cell and can differ from measured ones.

Peak list (10 most intense, 15 to 90 degrees two-theta, in order of rising 2θ)
d 4.404, rel. 100, (1 1 0)
d 4.314, rel. 44, (1 1 -1)
d 3.023, rel. 19, (1 3 0)
d 2.993, rel. 36, (1 3 -1)
d 2.540, rel. 12, (1 1 -2)
d 2.460, rel. 21, (0 4 1)
d 2.247, rel. 31, (0 0 2)
d 2.008, rel. 50, (2 4 -1)
d 1.512, rel. 15, (2 4 1)
d 1.483, rel. 15, (2 4 -3)

Structural model:
```
data_NiPdO4
_symmetry_space_group_name_H-M 'C 1 2/c 1'
_symmetry_Int_Tables_number 15
_cell_length_a 5.5034
_cell_length_b 11.7580
_cell_length_c 5.2074
_cell_angle_alpha 90.00
_cell_angle_beta 120.35
_cell_angle_gamma 90.00
loop_
_symmetry_equiv_pos_as_xyz
'x,y,z'
'-x,-y,-z'
'-x,y,-z+1/2'
'x,-y,z+1/2'
'x+1/2,y+1/2,z'
'-x+1/2,-y+1/2,-z'
'-x+1/2,y+1/2,-z+1/2'
'x+1/2,-y+1/2,z+1/2'
loop_
_atom_site_label
_atom_site_fract_x
_atom_site_fract_y
_atom_site_fract_z
Ni1 0.0000 0.0648 0.2500
Pd1 0.0000 0.1890 0.7500
O1 0.2050 0.0625 0.6873
O2 0.2112 0.1910 0.1907
```

=====

Entry 3:
Structure and computed powder X-ray diffraction pattern of Ni3PdO6 (a GGA+U-relaxed structure; Cu Kα (weighted mean of Kα1 and Kα2)).
Peak positions follow from Bragg's law for the DFT cell and can differ from measured ones.

Peak list (10 most intense, 15 to 90 degrees two-theta, in order of rising 2θ)
d 3.692, rel. 58, (0 1 2)
d 2.696, rel. 96, (1 0 4)
d 2.533, rel. 100, (1 1 0)
d 2.214, rel. 18, (2 -1 3)
d 1.846, rel. 38, (0 2 4)
d 1.694, rel. 74, (2 -1 6)
d 1.492, rel. 34, (3 -1 4)
d 1.462, rel. 36, (3 0 0)
d 1.305, rel. 16, (1 0 10)
d 1.107, rel. 16, (2 2 6)

Structural model:
```
data_Ni3PdO6
_symmetry_space_group_name_H-M 'R 3'
_symmetry_Int_Tables_number 146
_symmetry_space_group_name_Hall 'R 3'
_cell_length_a 5.0650
_cell_length_b 5.0650
_cell_length_c 13.6708
_cell_angle_alpha 90.00
_cell_angle_beta 90.00
_cell_angle_gamma 120.00
loop_
_atom_site_label
_atom_site_fract_x
_atom_site_fract_y
_atom_site_fract_z
Ni1 0.0000 0.0000 0.0000
Ni2 0.0000 0.0000 0.1992
Ni3 0.0000 0.0000 0.4937
Pd1 0.0000 0.0000 0.6913
O1 0.0014 0.3033 0.0949
O2 0.0115 0.7010 0.5955
```

=====

Entry 4:
Structure and computed powder X-ray diffraction pattern of Pu2NiPdO8 (a GGA+U-relaxed structure; Cu Kα (weighted mean of Kα1 and Kα2)).
Peak positions follow from Bragg's law for the DFT cell and can differ from measured ones.

Peak list (10 most intense, 15 to 90 degrees two-theta, in order of rising 2θ)
d 4.894, rel. 50, (1 0 1)
d 3.307, rel. 88, (2 0 0)
d 2.871, rel. 100, (1 1 2)
d 2.338, rel. 24, (2 2 0)
d 1.813, rel. 67, (3 1 2)
d 1.653, rel. 14, (4 0 0)
d 1.594, rel. 21, (2 0 4)
d 1.479, rel. 14, (4 2 0)
d 1.433, rel. 18, (3 3 2)
d 1.222, rel. 14, (5 1 2)

Structural model:
```
data_Pu2NiPdO8
_symmetry_space_group_name_H-M 'I -4 m 2'
_symmetry_Int_Tables_number 119
_symmetry_space_group_name_Hall 'I -4 -2'
_cell_length_a 6.6136
_cell_length_b 6.6136
_cell_length_c 7.2754
_cell_angle_alpha 90.00
_cell_angle_beta 90.00
_cell_angle_gamma 90.00
loop_
_atom_site_label
_atom_site_fract_x
_atom_site_fract_y
_atom_site_fract_z
Pu1 0.0000 0.0000 0.0000
Pu2 0.0000 0.5000 0.2500
Ni1 0.0000 0.0000 0.5000
Pd1 0.0000 0.5000 0.7500
O1 0.0000 0.1914 0.2929
O2 0.0000 0.3106 0.9661
```

=====

Entry 5:
Structure and computed powder X-ray diffraction pattern of Ni2SbPdO6 (a GGA+U-relaxed structure; Cu Kα (weighted mean of Kα1 and Kα2)).
Peak positions follow from Bragg's law for the DFT cell and can differ from measured ones.

Peak list (10 most intense, 15 to 90 degrees two-theta, in order of rising 2θ)
d 4.158, rel. 31, (1 1 0)
d 3.972, rel. 100, (0 0 1)
d 2.940, rel. 74, (2 0 0)
d 2.872, rel. 32, (1 1 1)
d 2.363, rel. 39, (2 0 1)
d 2.079, rel. 52, (2 2 0)
d 1.842, rel. 44, (2 2 1)
d 1.792, rel. 32, (1 1 2)
d 1.379, rel. 16, (4 0 1)
d 1.357, rel. 24, (3 1 2)

Structural model:
```
data_Ni2SbPdO6
_symmetry_space_group_name_H-M 'P 4 m m'
_symmetry_Int_Tables_number 99
_cell_length_a 5.8799
_cell_length_b 5.8799
_cell_length_c 3.9718
_cell_angle_alpha 90.00
_cell_angle_beta 90.00
_cell_angle_gamma 90.00
loop_
_symmetry_equiv_pos_as_xyz
'x,y,z'
'-y,x,z'
'-x,-y,z'
'y,-x,z'
'-x,y,z'
'y,x,z'
'x,-y,z'
'-y,-x,z'
loop_
_atom_site_label
_atom_site_fract_x
_atom_site_fract_y
_atom_site_fract_z
Ni1 0.0000 0.5000 0.0000
Sb1 0.0000 0.0000 0.8633
Pd1 0.5000 0.5000 0.8417
O1 0.0000 0.0000 0.3760
O2 0.2395 0.2395 0.9144
O3 0.5000 0.5000 0.3479
```

=====

Entry 6:
Structure and computed powder X-ray diffraction pattern of PmNi2O4 (a GGA+U-relaxed structure; Cu Kα (weighted mean of Kα1 and Kα2)).
Peak positions follow from Bragg's law for the DFT cell and can differ from measured ones.

Peak list (10 most intense, 15 to 90 degrees two-theta, in order of rising 2θ)
d 3.449, rel. 49, (2 0 0)
d 2.812, rel. 100, (2 1 1)
d 2.801, rel. 39, (1 1 2)
d 2.166, rel. 42, (1 0 3)
d 1.841, rel. 78, (3 2 1)
d 1.725, rel. 23, (4 0 0)
d 1.401, rel. 22, (2 2 4)
d 1.349, rel. 13, (4 1 3)
d 1.259, rel. 14, (5 2 1)
d 1.118, rel. 12, (6 1 1)

Structural model:
```
data_PmNi2O4
_symmetry_space_group_name_H-M 'I 41/a m d'
_symmetry_Int_Tables_number 141
_cell_length_a 6.8980
_cell_length_b 6.8980
_cell_length_c 6.8439
_cell_angle_alpha 90.00
_cell_angle_beta 90.00
_cell_angle_gamma 90.00
loop_
_symmetry_equiv_pos_as_xyz
'x,y,z'
'-x,-y,-z'
'-y+1/4,x+3/4,z+1/4'
'y+1/4,-x+3/4,-z+1/4'
'-x+1/2,-y,z+1/2'
'x+1/2,y,-z+1/2'
'y+1/4,-x+1/4,z+3/4'
'-y+1/4,x+1/4,-z+3/4'
'x,-y,-z'
'-x,y,z'
'-y+1/4,-x+1/4,-z+3/4'
'y+1/4,x+1/4,z+3/4'
'-x+1/2,y,-z+1/2'
'x+1/2,-y,z+1/2'
'y+1/4,x+3/4,-z+1/4'
'-y+1/4,-x+3/4,z+1/4'
'x+1/2,y+1/2,z+1/2'
'-x+1/2,-y+1/2,-z+1/2'
'-y+3/4,x+1/4,z+3/4'
'y+3/4,-x+1/4,-z+3/4'
'-x,-y+1/2,z'
'x,y+1/2,-z'
'y+3/4,-x+3/4,z+1/4'
'-y+3/4,x+3/4,-z+1/4'
'x+1/2,-y+1/2,-z+1/2'
'-x+1/2,y+1/2,z+1/2'
'-y+3/4,-x+3/4,-z+1/4'
'y+3/4,x+3/4,z+1/4'
'-x,y+1/2,-z'
'x,-y+1/2,z'
'y+3/4,x+1/4,-z+3/4'
'-y+3/4,-x+1/4,z+3/4'
loop_
_atom_site_label
_atom_site_fract_x
_atom_site_fract_y
_atom_site_fract_z
Pm1 0.0000 0.2500 0.3750
Ni1 0.0000 0.0000 0.0000
O1 0.0000 0.0709 0.7110
```

=====

Entry 7:
Structure and computed powder X-ray diffraction pattern of PmNiPt2O8 (a GGA+U-relaxed structure; Cu Kα (weighted mean of Kα1 and Kα2)).
Peak positions follow from Bragg's law for the DFT cell and can differ from measured ones.

Peak list (10 most intense, 15 to 90 degrees two-theta, in order of rising 2θ)
d 3.655, rel. 78, (1 0 1)
d 3.214, rel. 47, (0 0 2)
d 2.565, rel. 80, (1 1 0)
d 2.382, rel. 26, (2 -1 1)
d 2.099, rel. 18, (2 0 1)
d 2.005, rel. 100, (2 -1 2)
d 1.481, rel. 21, (3 0 0)
d 1.362, rel. 27, (1 1 4)
d 1.345, rel. 21, (3 0 2)
d 1.191, rel. 18, (2 2 2)

Structural model:
```
data_PmNiPt2O8
_symmetry_space_group_name_H-M 'P -3 1 m'
_symmetry_Int_Tables_number 162
_symmetry_space_group_name_Hall '-P 3 2'
_cell_length_a 5.1298
_cell_length_b 5.1298
_cell_length_c 6.4284
_cell_angle_alpha 90.00
_cell_angle_beta 90.00
_cell_angle_gamma 120.00
loop_
_atom_site_label
_atom_site_fract_x
_atom_site_fract_y
_atom_site_fract_z
Pm1 0.0000 0.0000 0.0000
Ni1 0.0000 0.0000 0.5000
Pt1 0.3333 0.6667 0.5000
O1 0.0000 0.3327 0.6720
O2 0.3333 0.6667 0.0000
```

=====

Entry 8:
Structure and computed powder X-ray diffraction pattern of PmPu2NiO8 (a GGA+U-relaxed structure; Cu Kα (weighted mean of Kα1 and Kα2)).
Peak positions follow from Bragg's law for the DFT cell and can differ from measured ones.

Peak list (10 most intense, 15 to 90 degrees two-theta, in order of rising 2θ)
d 4.938, rel. 33, (1 1 0)
d 3.576, rel. 57, (0 2 0)
d 3.413, rel. 48, (2 0 0)
d 2.836, rel. 100, (1 1 2)
d 2.488, rel. 11, (0 2 2)
d 2.469, rel. 29, (2 2 0)
d 1.887, rel. 40, (1 3 2)
d 1.838, rel. 35, (3 1 2)
d 1.487, rel. 21, (3 3 2)
d 1.418, rel. 11, (2 2 4)

Structural model:
```
data_PmPu2NiO8
_symmetry_space_group_name_H-M 'C m m m'
_symmetry_Int_Tables_number 65
_symmetry_space_group_name_Hall '-C 2 2'
_cell_length_a 6.8259
_cell_length_b 7.1513
_cell_length_c 6.9278
_cell_angle_alpha 90.00
_cell_angle_beta 90.00
_cell_angle_gamma 90.00
loop_
_atom_site_label
_atom_site_fract_x
_atom_site_fract_y
_atom_site_fract_z
Pm1 0.0000 0.0000 0.0000
Pu1 0.0000 0.5000 0.2601
Ni1 0.0000 0.0000 0.5000
O1 0.0000 0.3096 0.5000
O2 0.0000 0.3226 0.0000
O3 0.2059 0.0000 0.2721
```

=====

Entry 9:
Structure and computed powder X-ray diffraction pattern of PmPuNiO6 (a GGA+U-relaxed structure; Cu Kα (weighted mean of Kα1 and Kα2)).
Peak positions follow from Bragg's law for the DFT cell and can differ from measured ones.

Peak list (10 most intense, 15 to 90 degrees two-theta, in order of rising 2θ)
d 5.149, rel. 15, (0 0 2)
d 4.197, rel. 39, (1 0 1)
d 3.429, rel. 100, (1 0 2)
d 2.750, rel. 13, (1 0 3)
d 2.654, rel. 45, (1 1 0)
d 2.359, rel. 11, (1 1 2)
d 2.099, rel. 25, (2 0 2)
d 1.848, rel. 47, (1 1 4)
d 1.646, rel. 24, (2 1 2)
d 1.532, rel. 17, (3 0 0)

Structural model:
```
data_PmPuNiO6
_symmetry_space_group_name_H-M 'P -3 1 c'
_symmetry_Int_Tables_number 163
_symmetry_space_group_name_Hall '-P 3 2c'
_cell_length_a 5.3073
_cell_length_b 5.3073
_cell_length_c 10.2990
_cell_angle_alpha 90.00
_cell_angle_beta 90.00
_cell_angle_gamma 120.00
loop_
_atom_site_label
_atom_site_fract_x
_atom_site_fract_y
_atom_site_fract_z
Pm1 0.0000 0.0000 0.0000
Pu1 0.3333 0.6667 0.2500
Ni1 0.3333 0.6667 0.7500
O1 0.0105 0.3602 0.1403
```

=====

Entry 10:
Structure and computed powder X-ray diffraction pattern of PmNiS2O8 (a GGA+U-relaxed structure; Cu Kα (weighted mean of Kα1 and Kα2)).
Peak positions follow from Bragg's law for the DFT cell and can differ from measured ones.

Peak list (10 most intense, 15 to 90 degrees two-theta, in order of rising 2θ)
d 4.469, rel. 100, (1 0 0)
d 3.760, rel. 52, (0 1 1)
d 2.745, rel. 92, (0 1 2)
d 2.580, rel. 65, (1 1 0)
d 2.419, rel. 26, (1 1 1)
d 2.073, rel. 41, (1 1 2)
d 1.880, rel. 48, (2 0 2)
d 1.689, rel. 17, (2 1 0)
d 1.520, rel. 27, (1 2 2)
d 1.442, rel. 17, (1 1 4)

Structural model:
```
data_PmNiS2O8
_symmetry_space_group_name_H-M 'P -3 m 1'
_symmetry_Int_Tables_number 164
_symmetry_space_group_name_Hall '-P 3 2"'
_cell_length_a 5.1609
_cell_length_b 5.1609
_cell_length_c 6.9579
_cell_angle_alpha 90.00
_cell_angle_beta 90.00
_cell_angle_gamma 120.00
loop_
_atom_site_label
_atom_site_fract_x
_atom_site_fract_y
_atom_site_fract_z
Pm1 0.0000 0.0000 0.0000
Ni1 0.0000 0.0000 0.5000
S1 0.3333 0.6667 0.2119
O1 0.1749 0.3497 0.2786
O2 0.3333 0.6667 0.9958
```

=====

Entry 11:
Structure and computed powder X-ray diffraction pattern of SrPm2NiO5 (a GGA+U-relaxed structure; Cu Kα (weighted mean of Kα1 and Kα2)).
Peak positions follow from Bragg's law for the DFT cell and can differ from measured ones.

Peak list (10 most intense, 15 to 90 degrees two-theta, in order of rising 2θ)
d 5.681, rel. 33, (0 0 1)
d 2.963, rel. 31, (2 1 0)
d 2.862, rel. 100, (2 0 1)
d 2.840, rel. 42, (0 0 2)
d 2.627, rel. 82, (2 1 1)
d 2.343, rel. 22, (2 2 0)
d 2.095, rel. 20, (3 1 0)
d 2.050, rel. 57, (2 1 2)
d 1.644, rel. 20, (2 0 3)
d 1.546, rel. 20, (4 1 1)

Structural model:
```
data_SrPm2NiO5
_symmetry_space_group_name_H-M 'P 4/m b m'
_symmetry_Int_Tables_number 127
_symmetry_space_group_name_Hall '-P 4 2ab'
_cell_length_a 6.6256
_cell_length_b 6.6256
_cell_length_c 5.6809
_cell_angle_alpha 90.00
_cell_angle_beta 90.00
_cell_angle_gamma 90.00
loop_
_atom_site_label
_atom_site_fract_x
_atom_site_fract_y
_atom_site_fract_z
Sr1 0.0000 0.0000 0.0000
Pm1 0.1731 0.3269 0.5000
Ni1 0.0000 0.5000 0.0000
O1 0.0000 0.0000 0.5000
O2 0.1391 0.6391 0.2366
```